Calculated powder XRD pattern
Compound: Pm4Te5Br
Radiation: Cu Kα
Structure: a DFT-relaxed cell (PBE, Alexandria)

The 12 most intense peaks (2θ from 15° to 90°), sorted by position:
| two_theta | d/Å | intensity | hkl |
| --- | --- | --- | --- |
| 20.80 | 4.271 | 42 | 0 2 1 |
| 21.89 | 4.061 | 52 | 2 0 1 |
| 23.54 | 3.779 | 15 | 2 1 1 |
| 28.46 | 3.136 | 40 | 0 3 1 |
| 30.00 | 2.979 | 12 | 2 0 2 |
| 30.28 | 2.952 | 15 | 3 0 1 |
| 34.76 | 2.581 | 100 | 2 2 2 |
| 37.43 | 2.403 | 21 | 4 0 0 |
| 40.79 | 2.212 | 26 | 1 2 3 |
| 41.43 | 2.179 | 20 | 2 4 1 |
| 47.68 | 1.907 | 12 | 4 3 1 |
| 63.37 | 1.468 | 14 | 5 2 3 |

Structural model:
abc: 9.6115 10.3315 7.5926
angles: 90.00 90.00 90.00
Atoms (fractional coordinates):
Pm: 0.0393 0.2500 0.0650
Pm: 0.2500 0.5083 0.5464
Pm: 0.2500 0.9917 0.5464
Pm: 0.4607 0.2500 0.0650
Pm: 0.5393 0.7500 0.9350
Pm: 0.7500 0.0083 0.4536
Pm: 0.7500 0.4917 0.4536
Pm: 0.9607 0.7500 0.9350
Te: 0.0264 0.5521 0.2418
Te: 0.0264 0.9479 0.2418
Te: 0.2500 0.7500 0.7738
Te: 0.4736 0.5521 0.2418
Te: 0.4736 0.9479 0.2418
Te: 0.5264 0.0521 0.7582
Te: 0.5264 0.4479 0.7582
Te: 0.7500 0.2500 0.2262
Te: 0.9736 0.0521 0.7582
Te: 0.9736 0.4479 0.7582
Br: 0.2500 0.2500 0.3669
Br: 0.7500 0.7500 0.6331